The following is a computed XRD peak list of Ba2MnB6O12. It was derived from a PBE+U-relaxed structure, using Cu Kα X-rays.
Kinematic intensities with the Lorentz-polarization factor, no thermal factor.

Most intense lines, 2θ = 15–90°, sorted by position:
(1 0 1), d 5.863, rel. 22; (0 1 2), d 5.064, rel. 30; (1 1 0), d 3.595, rel. 96; (1 1 3), d 3.058, rel. 44; (0 1 5), d 3.038, rel. 100; (2 0 2), d 2.931, rel. 25; (2 0 5), d 2.321, rel. 33; (1 2 2), d 2.272, rel. 40; (3 0 0), d 2.076, rel. 22; (3 -1 4), d 2.070, rel. 34; (3 -2 5), d 1.950, rel. 37; (4 1 0), d 1.358, rel. 24

Atomic structure:
Cell lengths 7.1897, 7.1897, 17.4044 Å; angles 90.00, 90.00, 120.00 degrees
Space group R-3 (No. 148, hexagonal axes)
Symmetry-distinct sites (fractional):
1 Ba 0.0000 0.0000 0.2082 (multiplicity 6)
2 Mn 0.0000 0.0000 0.0000 (multiplicity 3)
3 B 0.0528 0.8317 0.5872 (multiplicity 18)
4 O 0.0040 0.2433 0.0825 (multiplicity 18)
5 O 0.0503 0.8372 0.4119 (multiplicity 18)